Calculated X-ray diffraction stick pattern
Compound: Rb2TlGeI6
Radiation: Cu Kα (λ = 1.5418 Å)
Structure: a GGA-PBE-relaxed structure

Principal peaks in the range 15 to 90 degrees two-theta, low angle first:
| d_spacing | two_theta | I (rel.) | h k l |
| --- | --- | --- | --- |
| 4.326 | 20.53 | 14 | 2 0 0 |
| 3.532 | 25.21 | 57 | 2 0 2 |
| 3.059 | 29.19 | 100 | 2 2 0 |
| 2.736 | 32.73 | 25 | 3 1 0 |
| 2.163 | 41.76 | 74 | 4 0 0 |
| 2.040 | 44.41 | 12 | 3 3 0 |
| 1.846 | 49.37 | 16 | 4 2 2 |
| 1.766 | 51.76 | 26 | 4 0 4 |
| 1.369 | 68.55 | 21 | 6 2 0 |
| 1.249 | 76.20 | 16 | 6 2 4 |

Atomic structure:
```
data_Rb2TlGeI6
_cell_length_a 8.660
_cell_length_b 8.660
_cell_length_c 12.213
_cell_angle_alpha 90.00
_cell_angle_beta 90.00
_cell_angle_gamma 90.00
_symmetry_space_group_name_H-M 'I 4/m m m'
_symmetry_Int_Tables_number 139
_symmetry_space_group_name_Hall '-I 4 2'
loop_
_atom_site_label
_atom_site_type_symbol
_atom_site_fract_x
_atom_site_fract_y
_atom_site_fract_z
Rb1 Rb 0.000 0.500 0.250
Tl1 Tl 0.000 0.000 0.000
Ge1 Ge 0.000 0.000 0.500
I1 I 0.000 0.000 0.262
I2 I 0.238 0.238 0.500
```